Starting from the PBE+U geometry in the Materials Project, the X-ray powder pattern of K2V3P4O20 was calculated for Cu Kα X-rays.

Structure:
```
K2V3P4O20
1.0
6.2749 0.0000 0.0000
-1.1692 11.1716 0.0000
-2.9135 -4.0025 11.8641
K V P O
4 6 8 40
Direct
0.0645 0.2760 0.4291 K
0.3096 0.4027 0.7788 K
0.6904 0.5973 0.2212 K
0.9355 0.7240 0.5709 K
0.1123 0.3300 0.1575 V
0.1664 0.8896 0.3711 V
0.4658 0.1117 0.9061 V
0.5342 0.8883 0.0939 V
0.8336 0.1104 0.6289 V
0.8877 0.6700 0.8425 V
0.0298 0.8438 0.1019 P
0.2790 0.5869 0.4011 P
0.3218 0.0523 0.6344 P
0.3878 0.7328 0.8319 P
0.6122 0.2672 0.1681 P
0.6782 0.9477 0.3656 P
0.7210 0.4131 0.5989 P
0.9702 0.1562 0.8981 P
0.0300 0.2819 0.9965 O
0.0612 0.8045 0.2103 O
0.0976 0.1993 0.1871 O
0.1237 0.6754 0.3684 O
0.1459 0.1401 0.6263 O
0.1594 0.0786 0.9082 O
0.1836 0.0332 0.3703 O
0.1894 0.6459 0.8459 O
0.1935 0.5205 0.1530 O
0.2078 0.4516 0.3068 O
0.2410 0.5584 0.5067 O
0.2456 0.9254 0.1028 O
0.2457 0.9263 0.5353 O
0.3412 0.7604 0.7232 O
0.3585 0.0215 0.7457 O
0.4208 0.3459 0.1528 O
0.4501 0.8611 0.9359 O
0.4621 0.8700 0.3696 O
0.4759 0.3643 0.5819 O
0.4930 0.2553 0.9058 O
0.5070 0.7447 0.0942 O
0.5241 0.6357 0.4181 O
0.5379 0.1300 0.6304 O
0.5499 0.1389 0.0641 O
0.5792 0.6541 0.8472 O
0.6415 0.9785 0.2543 O
0.6588 0.2396 0.2768 O
0.7543 0.0737 0.4647 O
0.7544 0.0746 0.8972 O
0.7590 0.4416 0.4933 O
0.7922 0.5484 0.6932 O
0.8065 0.4795 0.8470 O
0.8106 0.3541 0.1541 O
0.8164 0.9668 0.6297 O
0.8406 0.9214 0.0918 O
0.8541 0.8599 0.3737 O
0.8763 0.3246 0.6316 O
0.9024 0.8007 0.8129 O
0.9388 0.1955 0.7897 O
0.9700 0.7181 0.0035 O
```

Main lines, low angle first (10 to 90 degrees two-theta):
2θ = 14.6°, intensity 36; 2θ = 16.0°, intensity 87; 2θ = 23.9°, intensity 38; 2θ = 26.4°, intensity 32; 2θ = 28.6°, intensity 100; 2θ = 29.3°, intensity 21; 2θ = 30.1°, intensity 31; 2θ = 31.5°, intensity 21

---

Starting from the PBE+U geometry in the Materials Project, the X-ray powder pattern of NiBi12O20 was calculated for Cu Kα X-rays.

Structure:
```
NiBi12O20
1.0
-5.1164 5.1164 5.1164
5.1164 -5.1164 5.1164
5.1164 5.1164 -5.1164
Ni Bi O
1 12 20
Direct
0.0000 0.0000 0.0000 Ni
0.1404 0.3034 0.8095 Bi
0.1630 0.8596 0.6691 Bi
0.1905 0.4939 0.3309 Bi
0.3034 0.8095 0.1404 Bi
0.3309 0.1905 0.4939 Bi
0.4939 0.3309 0.1905 Bi
0.5061 0.6966 0.8370 Bi
0.6691 0.1630 0.8596 Bi
0.6966 0.8370 0.5061 Bi
0.8095 0.1404 0.3034 Bi
0.8370 0.5061 0.6966 Bi
0.8596 0.6691 0.1630 Bi
0.0000 0.0000 0.2122 O
0.0000 0.0000 0.6056 O
0.0000 0.2122 0.0000 O
0.0000 0.6056 0.0000 O
0.1240 0.7637 0.3792 O
0.2122 0.0000 0.0000 O
0.2363 0.3603 0.6156 O
0.2553 0.6397 0.8760 O
0.3603 0.6156 0.2363 O
0.3792 0.1240 0.7637 O
0.3844 0.7447 0.6208 O
0.3944 0.3944 0.3944 O
0.6056 0.0000 0.0000 O
0.6156 0.2363 0.3603 O
0.6208 0.3844 0.7447 O
0.6397 0.8760 0.2553 O
0.7447 0.6208 0.3844 O
0.7637 0.3792 0.1240 O
0.7878 0.7878 0.7878 O
0.8760 0.2553 0.6397 O
```

Main lines, low angle first (10 to 90 degrees two-theta):
2θ = 24.6°, intensity 22; 2θ = 27.6°, intensity 100; 2θ = 30.3°, intensity 24; 2θ = 32.7°, intensity 69; 2θ = 52.1°, intensity 42; 2θ = 53.7°, intensity 18; 2θ = 55.3°, intensity 30; 2θ = 61.5°, intensity 21